1.
Structure and computed powder X-ray diffraction pattern of Gd2Y3Er3 (the GGA-PBE geometry in OQMD; λ = 1.5418 Å (Cu Kα)).
Neutral-atom scattering factors, no anomalous dispersion.

Principal peaks in the range 10° ≤ 2θ ≤ 90°, in order of rising 2θ:
2theta, d_spacing, I/Imax
28.5, 3.136, 27
31.8, 2.815, 24
32.7, 2.740, 100
43.2, 2.095, 17
50.4, 1.810, 20
57.2, 1.610, 20
60.8, 1.523, 22
61.4, 1.510, 16
83.3, 1.160, 14
87.8, 1.111, 8

Structure:
abc: 7.241 7.241 5.631
angles: 90.00 90.00 120.00
Sites, in units of the cell vectors:
Gd1 0.000 0.000 0.000
Gd2 0.333 0.667 0.500
Y1 0.334 0.167 0.500
Y2 0.833 0.167 0.500
Y3 0.833 0.666 0.500
Er1 0.500 0.001 0.000
Er2 0.500 0.500 0.000
Er3 0.999 0.500 0.000

2.
Structure and computed powder X-ray diffraction pattern of ZnSi2Au (the GGA-PBE geometry in OQMD; λ = 1.5418 Å (Cu Kα)).
Neutral-atom scattering factors, no anomalous dispersion.

Principal peaks in the range 10° ≤ 2θ ≤ 90°, in order of rising 2θ:
2theta, d_spacing, I/Imax
24.0, 3.708, 68
27.8, 3.211, 19
39.7, 2.271, 100
46.9, 1.937, 36
57.4, 1.606, 17
63.1, 1.473, 15
64.9, 1.436, 8
72.0, 1.311, 34
77.2, 1.236, 11
85.5, 1.135, 11

Structure:
abc: 6.423 6.423 6.423
angles: 90.00 90.00 90.00
Sites, in units of the cell vectors:
Zn1 0.000 0.000 0.000
Zn2 0.000 0.500 0.500
Zn3 0.500 0.000 0.500
Zn4 0.500 0.500 0.000
Si1 0.000 0.000 0.500
Si2 0.000 0.500 0.000
Si3 0.250 0.250 0.750
Si4 0.250 0.750 0.250
Si5 0.500 0.000 0.000
Si6 0.500 0.500 0.500
Si7 0.750 0.250 0.250
Si8 0.750 0.750 0.750
Au1 0.250 0.250 0.250
Au2 0.250 0.750 0.750
Au3 0.750 0.250 0.750
Au4 0.750 0.750 0.250